Entry 1:
Starting from DFT lattice parameters and positions (GGA-PBE), the XRD peak list of Tb4InAg3 was simulated for λ = 1.5418 Å (Cu Kα).
Intensities are scaled so that the largest is 100.

Top 8 peaks for 2θ = 15–90°, sorted by position:
2.867 Å, 31.2°, rel. 23; 2.851 Å, 31.4°, rel. 100; 2.660 Å, 33.7°, rel. 32; 2.468 Å, 36.4°, rel. 38; 2.424 Å, 37.1°, rel. 36; 2.332 Å, 38.6°, rel. 47; 1.852 Å, 49.2°, rel. 29; 1.792 Å, 51.0°, rel. 20

```
Tb4InAg3
1.0
3.7038 0.0000 0.0000
0.0000 4.8488 0.0000
0.0000 0.0000 11.4661
Tb In Ag
4 1 3
Direct
0.0000 0.0000 0.0000
0.0000 0.5000 0.2818
0.5000 0.0000 0.4825
0.5000 0.5000 0.7960
0.0000 0.0000 0.7178
0.0000 0.5000 0.5588
0.5000 0.0000 0.2169
0.5000 0.5000 0.0651
```

Entry 2:
Starting from DFT lattice parameters and positions (GGA-PBE), the XRD peak list of TbIn2AgTe4 was simulated for λ = 1.5418 Å (Cu Kα).
Intensities are scaled so that the largest is 100.

Top 8 peaks for 2θ = 15–90°, sorted by position:
3.137 Å, 28.4°, rel. 51; 3.124 Å, 28.6°, rel. 100; 2.242 Å, 40.2°, rel. 20; 2.231 Å, 40.4°, rel. 39; 2.196 Å, 41.1°, rel. 37; 2.177 Å, 41.5°, rel. 18; 1.788 Å, 51.1°, rel. 20; 1.562 Å, 59.2°, rel. 12

```
TbIn2AgTe4
1.0
7.6309 0.0000 0.0000
0.0000 4.3534 0.0000
-2.5259 0.0000 7.3765
Tb In Ag Te
1 2 1 4
Direct
0.0000 0.0000 0.0000
0.0000 0.5000 0.5000
0.5000 0.0000 0.5000
0.5000 0.5000 0.0000
0.2454 0.5000 0.2394
0.2525 0.0000 0.7582
0.7475 0.0000 0.2418
0.7546 0.5000 0.7606
```

Entry 3:
Starting from DFT lattice parameters and positions (GGA-PBE), the XRD peak list of In5AgTe8 was simulated for λ = 1.5418 Å (Cu Kα).
Intensities are scaled so that the largest is 100.

Top 8 peaks for 2θ = 15–90°, sorted by position:
3.667 Å, 24.3°, rel. 100; 2.762 Å, 32.4°, rel. 10; 2.251 Å, 40.1°, rel. 48; 2.236 Å, 40.3°, rel. 24; 1.928 Å, 47.2°, rel. 14; 1.909 Å, 47.6°, rel. 28; 1.460 Å, 63.7°, rel. 10; 1.294 Å, 73.1°, rel. 13

```
In5AgTe8
1.0
6.3244 0.0000 0.0000
0.0000 6.3244 0.0000
0.0000 0.0000 12.8168
In Ag Te
5 1 8
Direct
0.0000 0.0000 0.0000
0.0000 0.5000 0.2557
0.0000 0.5000 0.7443
0.5000 0.0000 0.2557
0.5000 0.0000 0.7443
0.5000 0.5000 0.5000
0.2289 0.2289 0.6124
0.2289 0.7711 0.3876
0.2762 0.2762 0.1125
0.2762 0.7238 0.8875
0.7238 0.2762 0.8875
0.7238 0.7238 0.1125
0.7711 0.2289 0.3876
0.7711 0.7711 0.6124
```

Entry 4:
Starting from DFT lattice parameters and positions (GGA-PBE), the XRD peak list of In2Ag14Te9 was simulated for λ = 1.5418 Å (Cu Kα).
Intensities are scaled so that the largest is 100.

Top 8 peaks for 2θ = 15–90°, sorted by position:
3.996 Å, 22.2°, rel. 27; 3.731 Å, 23.8°, rel. 100; 2.581 Å, 34.8°, rel. 40; 2.334 Å, 38.6°, rel. 64; 2.322 Å, 38.8°, rel. 66; 2.301 Å, 39.2°, rel. 77; 2.264 Å, 39.8°, rel. 27; 2.133 Å, 42.4°, rel. 34

```
In2Ag14Te9
1.0
7.7666 0.0000 0.0000
3.7822 7.7416 0.0000
0.6420 0.0619 11.1960
In Ag Te
2 14 9
Direct
0.1188 0.1746 0.3006
0.8812 0.8254 0.6994
0.1714 0.8003 0.1003
0.1758 0.4497 0.9205
0.2706 0.4450 0.4061
0.2846 0.6897 0.5844
0.4771 0.8626 0.4260
0.4778 0.8488 0.9593
0.4926 0.5866 0.2497
0.5074 0.4134 0.7503
0.5222 0.1512 0.0407
0.5229 0.1374 0.5740
0.7154 0.3103 0.4156
0.7294 0.5550 0.5939
0.8242 0.5503 0.0795
0.8286 0.1997 0.8997
0.1350 0.8172 0.3539
0.1414 0.1628 0.0328
0.1589 0.4339 0.6629
0.4625 0.8678 0.6961
0.5000 0.5000 0.0000
0.5375 0.1322 0.3039
0.8411 0.5661 0.3371
0.8586 0.8372 0.9672
0.8650 0.1828 0.6461
```

Entry 5:
Starting from DFT lattice parameters and positions (GGA-PBE), the XRD peak list of In3AgTe4 was simulated for λ = 1.5418 Å (Cu Kα).
Intensities are scaled so that the largest is 100.

Top 8 peaks for 2θ = 15–90°, sorted by position:
3.900 Å, 22.8°, rel. 100; 3.366 Å, 26.5°, rel. 9; 2.443 Å, 36.8°, rel. 42; 2.289 Å, 39.4°, rel. 26; 2.192 Å, 41.2°, rel. 13; 1.974 Å, 46.0°, rel. 30; 1.618 Å, 56.9°, rel. 9; 1.349 Å, 69.7°, rel. 12

```
In3AgTe4
1.0
4.5776 0.0000 0.0000
0.0000 4.5776 0.0000
0.0000 0.0000 14.9019
In Ag Te
3 1 4
Direct
0.0000 0.0000 0.0000
0.5000 0.5000 0.2774
0.5000 0.5000 0.7226
0.0000 0.0000 0.5000
0.0000 0.5000 0.1628
0.0000 0.5000 0.6074
0.5000 0.0000 0.3926
0.5000 0.0000 0.8372
```

Entry 6:
Starting from DFT lattice parameters and positions (GGA-PBE), the XRD peak list of Th2InAg was simulated for λ = 1.5418 Å (Cu Kα).
Intensities are scaled so that the largest is 100.

Top 8 peaks for 2θ = 15–90°, sorted by position:
4.546 Å, 19.5°, rel. 15; 2.820 Å, 31.7°, rel. 100; 2.675 Å, 33.5°, rel. 94; 2.435 Å, 36.9°, rel. 70; 2.273 Å, 39.7°, rel. 26; 1.661 Å, 55.3°, rel. 36; 1.492 Å, 62.2°, rel. 23; 1.427 Å, 65.4°, rel. 25

```
Th2InAg
1.0
6.6180 0.0000 0.0000
0.0000 9.0923 0.0000
0.0000 0.0000 7.1899
Th In Ag
8 4 4
Direct
0.2500 0.0217 0.2500
0.2500 0.4783 0.2500
0.2500 0.5217 0.7500
0.2500 0.9783 0.7500
0.7500 0.0217 0.2500
0.7500 0.4783 0.2500
0.7500 0.5217 0.7500
0.7500 0.9783 0.7500
0.0000 0.2500 0.5373
0.0000 0.7500 0.4627
0.5000 0.2500 0.9627
0.5000 0.7500 0.0373
0.0000 0.2500 0.9610
0.0000 0.7500 0.0390
0.5000 0.2500 0.5390
0.5000 0.7500 0.4610
```

Entry 7:
Starting from DFT lattice parameters and positions (GGA-PBE), the XRD peak list of Th4In5Ag2 was simulated for λ = 1.5418 Å (Cu Kα).
Intensities are scaled so that the largest is 100.

Top 8 peaks for 2θ = 15–90°, sorted by position:
2.713 Å, 33.0°, rel. 57; 2.678 Å, 33.5°, rel. 48; 2.650 Å, 33.8°, rel. 45; 2.593 Å, 34.6°, rel. 35; 2.578 Å, 34.8°, rel. 100; 2.492 Å, 36.0°, rel. 37; 2.436 Å, 36.9°, rel. 21; 2.372 Å, 37.9°, rel. 28

```
Th4In5Ag2
1.0
8.1699 0.0000 0.0000
0.0000 3.3606 0.0000
-0.7571 0.0000 10.6043
Th In Ag
4 5 2
Direct
0.1617 0.0000 0.3816
0.2729 0.0000 0.9477
0.7271 0.0000 0.0523
0.8383 0.0000 0.6184
0.2010 0.5000 0.6662
0.4335 0.5000 0.2062
0.5000 0.5000 0.5000
0.5665 0.5000 0.7938
0.7990 0.5000 0.3338
0.0540 0.5000 0.1337
0.9460 0.5000 0.8663
```

Entry 8:
Starting from DFT lattice parameters and positions (GGA-PBE), the XRD peak list of Ti2In4Ag was simulated for λ = 1.5418 Å (Cu Kα).
Intensities are scaled so that the largest is 100.

Top 8 peaks for 2θ = 15–90°, sorted by position:
4.686 Å, 18.9°, rel. 17; 3.484 Å, 25.6°, rel. 21; 2.463 Å, 36.5°, rel. 58; 2.343 Å, 38.4°, rel. 100; 1.742 Å, 52.5°, rel. 19; 1.398 Å, 66.9°, rel. 36; 1.332 Å, 70.8°, rel. 15; 1.171 Å, 82.3°, rel. 10

```
Ti2In4Ag
1.0
6.9671 0.0000 0.0000
0.0000 6.9671 0.0000
0.0000 0.0000 6.3315
Ti In Ag
4 8 2
Direct
0.0000 0.5000 0.0000
0.0000 0.5000 0.5000
0.5000 0.0000 0.0000
0.5000 0.0000 0.5000
0.2500 0.2500 0.2500
0.2500 0.2500 0.7500
0.2500 0.7500 0.2500
0.2500 0.7500 0.7500
0.7500 0.2500 0.2500
0.7500 0.2500 0.7500
0.7500 0.7500 0.2500
0.7500 0.7500 0.7500
0.0000 0.0000 0.0000
0.5000 0.5000 0.5000
```

Entry 9:
Starting from DFT lattice parameters and positions (GGA-PBE), the XRD peak list of Tl17In11Ag was simulated for λ = 1.5418 Å (Cu Kα).
Intensities are scaled so that the largest is 100.

Top 8 peaks for 2θ = 15–90°, sorted by position:
2.824 Å, 31.7°, rel. 100; 2.816 Å, 31.8°, rel. 91; 2.806 Å, 31.9°, rel. 95; 2.797 Å, 32.0°, rel. 64; 2.549 Å, 35.2°, rel. 17; 1.629 Å, 56.5°, rel. 28; 1.626 Å, 56.6°, rel. 19; 1.620 Å, 56.8°, rel. 18

```
Tl17In11Ag
1.0
5.9657 -8.4522 0.0000
5.9657 8.4522 0.0000
-5.8372 0.0000 8.4229
Tl In Ag
17 11 1
Direct
0.0000 0.0000 0.0000
0.0001 0.0001 0.3631
0.0026 0.3575 0.9994
0.0034 0.6084 0.3230
0.0047 0.3206 0.6103
0.2870 0.6808 0.6819
0.3184 0.6068 0.0029
0.3206 0.0047 0.6103
0.3575 0.0026 0.9994
0.3879 0.3879 0.7242
0.4003 0.7173 0.3981
0.6068 0.3184 0.0029
0.6084 0.0034 0.3230
0.6393 0.6393 0.6474
0.6795 0.6795 0.2905
0.6808 0.2870 0.6819
0.7173 0.4003 0.3981
0.0062 0.8209 0.6393
0.1869 0.3710 0.3669
0.1910 0.8267 0.1935
0.3553 0.3553 0.1472
0.3710 0.1869 0.3669
0.6327 0.8123 0.0043
0.6335 0.9983 0.8147
0.8123 0.6327 0.0043
0.8209 0.0062 0.6393
0.8267 0.1910 0.1935
0.9983 0.6335 0.8147
0.1711 0.1711 0.8045
```

Entry 10:
Starting from DFT lattice parameters and positions (GGA-PBE), the XRD peak list of Tl2In5Ag was simulated for λ = 1.5418 Å (Cu Kα).
Intensities are scaled so that the largest is 100.

Top 8 peaks for 2θ = 15–90°, sorted by position:
2.736 Å, 32.7°, rel. 100; 2.453 Å, 36.6°, rel. 16; 2.331 Å, 38.6°, rel. 33; 1.690 Å, 54.3°, rel. 20; 1.648 Å, 55.8°, rel. 11; 1.465 Å, 63.5°, rel. 10; 1.412 Å, 66.2°, rel. 25; 1.368 Å, 68.6°, rel. 10

```
Tl2In5Ag
1.0
4.6615 0.0000 0.0000
0.0000 4.6615 0.0000
0.0000 0.0000 19.6230
Tl In Ag
4 10 2
Direct
0.0000 0.0000 0.2451
0.0000 0.0000 0.7549
0.5000 0.5000 0.2549
0.5000 0.5000 0.7451
0.0000 0.0000 0.0000
0.0000 0.5000 0.1125
0.0000 0.5000 0.3875
0.0000 0.5000 0.6125
0.0000 0.5000 0.8875
0.5000 0.0000 0.1125
0.5000 0.0000 0.3875
0.5000 0.0000 0.6125
0.5000 0.0000 0.8875
0.5000 0.5000 0.5000
0.0000 0.0000 0.5000
0.5000 0.5000 0.0000
```

Entry 11:
Starting from DFT lattice parameters and positions (GGA-PBE), the XRD peak list of Tl4In5Ag was simulated for λ = 1.5418 Å (Cu Kα).
Intensities are scaled so that the largest is 100.

Top 8 peaks for 2θ = 15–90°, sorted by position:
3.520 Å, 25.3°, rel. 17; 2.896 Å, 30.9°, rel. 100; 2.772 Å, 32.3°, rel. 17; 2.401 Å, 37.5°, rel. 39; 1.815 Å, 50.3°, rel. 17; 1.698 Å, 54.0°, rel. 12; 1.623 Å, 56.7°, rel. 17; 1.464 Å, 63.5°, rel. 19

```
Tl4In5Ag
1.0
-5.0928 5.0928 2.7724
5.0928 -5.0928 2.7724
5.0928 5.0928 -2.7724
Tl In Ag
4 5 1
Direct
0.0006 0.6796 0.6801
0.3204 0.0006 0.3210
0.6796 0.9994 0.6790
0.9994 0.3204 0.3199
0.3026 0.3040 0.6281
0.3040 0.6759 0.0013
0.6746 0.3026 0.9987
0.6759 0.6746 0.3719
0.8015 0.8015 0.0000
0.2853 0.2853 0.0000
```

Entry 12:
Starting from DFT lattice parameters and positions (GGA-PBE), the XRD peak list of Tm12In5Ag2 was simulated for λ = 1.5418 Å (Cu Kα).
Intensities are scaled so that the largest is 100.

Top 8 peaks for 2θ = 15–90°, sorted by position:
2.901 Å, 30.8°, rel. 38; 2.858 Å, 31.3°, rel. 73; 2.823 Å, 31.7°, rel. 100; 2.603 Å, 34.5°, rel. 73; 2.558 Å, 35.1°, rel. 83; 2.467 Å, 36.4°, rel. 44; 2.434 Å, 36.9°, rel. 47; 2.402 Å, 37.4°, rel. 47

```
Tm12In5Ag2
1.0
6.5193 -4.6840 0.0000
6.5193 4.6840 0.0000
-0.0877 0.0000 8.4811
Tm In Ag
12 5 2
Direct
0.0736 0.0736 0.2417
0.0932 0.6922 0.1119
0.1724 0.5294 0.7286
0.3078 0.9068 0.8881
0.3997 0.3997 0.3750
0.4706 0.8276 0.2714
0.5294 0.1724 0.7286
0.6003 0.6003 0.6250
0.6922 0.0932 0.1119
0.8276 0.4706 0.2714
0.9068 0.3078 0.8881
0.9264 0.9264 0.7583
0.1654 0.1654 0.5790
0.2702 0.2702 0.0566
0.5000 0.5000 0.0000
0.7298 0.7298 0.9434
0.8346 0.8346 0.4210
0.2175 0.7825 0.5000
0.7825 0.2175 0.5000
```

Please write out number 7 again, unchanged.
Starting from DFT lattice parameters and positions (GGA-PBE), the XRD peak list of Th4In5Ag2 was simulated for λ = 1.5418 Å (Cu Kα).
Intensities are scaled so that the largest is 100.

Top 8 peaks for 2θ = 15–90°, sorted by position:
2.713 Å, 33.0°, rel. 57; 2.678 Å, 33.5°, rel. 48; 2.650 Å, 33.8°, rel. 45; 2.593 Å, 34.6°, rel. 35; 2.578 Å, 34.8°, rel. 100; 2.492 Å, 36.0°, rel. 37; 2.436 Å, 36.9°, rel. 21; 2.372 Å, 37.9°, rel. 28

```
Th4In5Ag2
1.0
8.1699 0.0000 0.0000
0.0000 3.3606 0.0000
-0.7571 0.0000 10.6043
Th In Ag
4 5 2
Direct
0.1617 0.0000 0.3816
0.2729 0.0000 0.9477
0.7271 0.0000 0.0523
0.8383 0.0000 0.6184
0.2010 0.5000 0.6662
0.4335 0.5000 0.2062
0.5000 0.5000 0.5000
0.5665 0.5000 0.7938
0.7990 0.5000 0.3338
0.0540 0.5000 0.1337
0.9460 0.5000 0.8663
```